No. 1
This entry pairs a crystal structure of SmH8S3N3O10 with its computed X-ray powder pattern. Radiation: λ = 1.5418 Å (Cu Kα). Structure: a cell relaxed with PBE.
Peak positions follow from Bragg's law for the DFT cell and can differ from measured ones.

Main lines, sorted by position (10° ≤ 2θ ≤ 90°):
hkl 0 1 0, 10.26°, I = 100
hkl 1 0 0, 13.34°, I = 18
hkl 1 1 0, 14.86°, I = 18
hkl 1 1 1, 15.51°, I = 18
hkl 1 2 1, 20.70°, I = 27
hkl 0 2 2, 23.43°, I = 27
hkl 1 0 2, 23.59°, I = 25
hkl 2 1 1, 26.64°, I = 19
hkl 2 0 1, 28.31°, I = 17
hkl 1 3 1, 28.92°, I = 17

Structural model:
Lattice parameters (Å, degrees): 6.877 9.465 9.535 69.31 82.68 75.06
Space group P-1 (No. 2)
Symmetry-distinct sites (fractional):
Sm 0.130 0.081 0.186 x2
H 0.022 0.380 0.769 x2
H 0.176 0.549 0.337 x2
H 0.187 0.405 0.156 x2
H 0.342 0.349 0.034 x2
H 0.372 0.255 0.558 x2
H 0.406 0.312 0.700 x2
H 0.423 0.813 0.682 x2
H 0.454 0.622 0.721 x2
S 0.219 0.759 0.553 x2
S 0.253 0.696 0.108 x2
S 0.308 0.090 0.787 x2
N 0.130 0.570 0.231 x2
N 0.319 0.260 0.663 x2
N 0.432 0.728 0.637 x2
O 0.045 0.772 0.660 x2
O 0.164 0.734 0.964 x2
O 0.167 0.034 0.728 x2
O 0.214 0.909 0.432 x2
O 0.224 0.835 0.152 x2
O 0.230 0.129 0.923 x2
O 0.237 0.321 0.112 x2
O 0.242 0.626 0.505 x2
O 0.464 0.610 0.118 x2
O 0.496 0.021 0.192 x2

No. 2
This entry pairs a crystal structure of Pm3MnIr8 with its computed X-ray powder pattern. Radiation: λ = 1.5418 Å (Cu Kα). Structure: a cell relaxed with PBE.
Peak positions follow from Bragg's law for the DFT cell and can differ from measured ones.

Main lines, sorted by position (10° ≤ 2θ ≤ 90°):
hkl 0 0 6, 20.26°, I = 24
hkl 1 1 0, 33.38°, I = 16
hkl 2 0 2, 39.36°, I = 100
hkl 0 2 4, 41.16°, I = 42
hkl 0 0 12, 41.27°, I = 14
hkl 2 0 8, 47.92°, I = 12
hkl 3 0 6, 63.66°, I = 24
hkl 2 2 0, 70.03°, I = 15
hkl 0 2 16, 70.19°, I = 15
hkl 4 0 4, 84.63°, I = 16

Structural model:
Lattice parameters (Å, degrees): 5.3742 5.3742 26.2515 90.00 90.00 120.00
Space group R3m (No. 160, hexagonal axes)
Symmetry-distinct sites (fractional):
Pm 0.0000 0.0000 0.0000 x3
Pm 0.0000 0.0000 0.1277 x3
Pm 0.0000 0.0000 0.5088 x3
Mn 0.0000 0.0000 0.6344 x3
Ir 0.0000 0.0000 0.3150 x3
Ir 0.0000 0.0000 0.8153 x3
Ir 0.0008 0.5004 0.5668 x9
Ir 0.1675 0.3349 0.3974 x9

No. 3
This entry pairs a crystal structure of KIn3Pt with its computed X-ray powder pattern. Radiation: λ = 1.5418 Å (Cu Kα). Structure: a cell relaxed with PBE.
Peak positions follow from Bragg's law for the DFT cell and can differ from measured ones.

Main lines, sorted by position (10° ≤ 2θ ≤ 90°):
hkl 1 0 0, 10.75°, I = 100
hkl 1 1 -1, 17.14°, I = 16
hkl 0 1 2, 22.59°, I = 14
hkl 1 2 0, 27.12°, I = 16
hkl 1 1 -3, 29.84°, I = 41
hkl 3 0 -2, 32.19°, I = 14
hkl 2 2 0, 33.14°, I = 18
hkl 0 0 4, 38.24°, I = 16
hkl 4 0 -2, 42.02°, I = 18
hkl 2 3 -2, 45.03°, I = 18

Structural model:
Lattice parameters (Å, degrees): 8.669 7.174 9.920 90.00 108.35 90.00
Space group P2_1/c (No. 14)
Symmetry-distinct sites (fractional):
K 0.144 0.071 0.214 x4
In 0.144 0.602 0.083 x4
In 0.306 0.007 0.890 x4
In 0.470 0.138 0.636 x4
Pt 0.438 0.742 0.092 x4